Diffraction record for VCr2SnO6. The powder X-ray diffraction pattern is calculated, not measured: it uses a DFT-relaxed cell (GGA+U, Alexandria) and a wavelength of 1.5418 Å.
Peak positions follow from Bragg's law for the DFT cell and can differ from measured ones.

The 12 most intense peaks (2θ from 15° to 90°), by angle:
2theta  I/Imax  hkl
20.52  30  1 0 1
23.28  51  0 1 2
32.14  100  1 0 4
34.14  90  1 1 0
39.31  25  2 -1 3
47.59  42  0 2 4
52.25  61  2 -1 6
59.86  37  3 -1 4
61.12  35  3 0 0
69.90  19  1 0 10
80.95  12  1 3 4
84.54  13  2 2 6

Structural model:
Lattice parameters (Å, degrees): 5.2521 5.2521 14.0917 90.00 90.00 120.00
Space group R3 (No. 146, hexagonal axes)
One atom of each set of equivalent atoms:
V 0.0000 0.0000 0.0000 x3
Cr 0.0000 0.0000 0.2050 x3
Cr 0.0000 0.0000 0.7018 x3
Sn 0.0000 0.0000 0.4980 x3
O 0.0382 0.6823 0.7724 x9
O 0.0471 0.3611 0.2710 x9